# 1
This entry pairs a crystal structure of Ba2LiWN4 with its theoretical XRD peak list. Radiation: Cu Ka. Structure: a DFT-relaxed cell (PBE, Alexandria).

Largest 10 diffraction maxima, low angle first, 10° ≤ 2θ ≤ 90°:
23.90 deg, I = 100.0; 29.92 deg, I = 27.9; 30.94 deg, I = 58.3; 32.05 deg, I = 64.8; 40.01 deg, I = 28.1; 44.42 deg, I = 20.6; 45.88 deg, I = 19.0; 46.35 deg, I = 21.1; 56.15 deg, I = 21.3; 59.10 deg, I = 16.4

Structure:
```
data_Ba2LiWN4
_chemical_formula_sum 'Ba4 Li2 W2 N8'
_symmetry_space_group_name_H-M 'P 1'
_symmetry_Int_Tables_number 1
_cell_length_a 11.5672
_cell_length_b 10.2008
_cell_length_c 6.4490
_cell_angle_alpha 84.83
_cell_angle_beta 61.44
_cell_angle_gamma 33.73
loop_
_symmetry_equiv_pos_as_xyz
'x,y,z'
loop_
_atom_site_label
_atom_site_type_symbol
_atom_site_fract_x
_atom_site_fract_y
_atom_site_fract_z
Ba1 Ba 0.0471 0.0471 0.7029
Ba2 Ba 0.2971 0.2971 0.9529
Ba3 Ba 0.7029 0.7029 0.0471
Ba4 Ba 0.9529 0.9529 0.2971
Li1 Li 0.1250 0.1250 0.1250
Li2 Li 0.8750 0.8750 0.8750
W1 W 0.3750 0.3750 0.3750
W2 W 0.6250 0.6250 0.6250
N1 N 0.0049 0.3469 0.4330
N2 N 0.2847 0.5670 0.6531
N3 N 0.3469 0.0049 0.7153
N4 N 0.4330 0.7153 0.0049
N5 N 0.5670 0.2847 0.9951
N6 N 0.6531 0.9951 0.2847
N7 N 0.7153 0.4330 0.3469
N8 N 0.9951 0.6531 0.5670
```

=====

# 2
This entry pairs a crystal structure of Ba4NaLi with its theoretical XRD peak list. Radiation: Cu Ka. Structure: a DFT-relaxed cell (PBE, Alexandria).

Largest 10 diffraction maxima, low angle first, 10° ≤ 2θ ≤ 90°:
19.62 deg, I = 100.0; 22.24 deg, I = 14.3; 24.05 deg, I = 83.0; 24.31 deg, I = 63.7; 27.44 deg, I = 29.8; 28.33 deg, I = 19.7; 36.98 deg, I = 39.9; 37.50 deg, I = 34.8; 39.85 deg, I = 14.6; 45.00 deg, I = 22.8

Structure:
```
data_Ba4NaLi
_chemical_formula_sum 'Ba4 Na1 Li1'
_symmetry_space_group_name_H-M 'P 1'
_symmetry_Int_Tables_number 1
_cell_length_a 9.0525
_cell_length_b 9.0525
_cell_length_c 4.4996
_cell_angle_alpha 90.00
_cell_angle_beta 90.00
_cell_angle_gamma 91.80
loop_
_symmetry_equiv_pos_as_xyz
'x,y,z'
loop_
_atom_site_label
_atom_site_type_symbol
_atom_site_fract_x
_atom_site_fract_y
_atom_site_fract_z
Ba1 Ba 0.2367 0.7633 0.0000
Ba2 Ba 0.2854 0.2854 0.5000
Ba3 Ba 0.7146 0.7146 0.5000
Ba4 Ba 0.7633 0.2367 0.0000
Na1 Na 0.0000 0.0000 0.5000
Li1 Li 0.5000 0.5000 0.0000
```

=====

# 3
This entry pairs a crystal structure of BaNa3Li with its theoretical XRD peak list. Radiation: Cu Ka. Structure: a DFT-relaxed cell (PBE, Alexandria).

Largest 10 diffraction maxima, low angle first, 10° ≤ 2θ ≤ 90°:
19.43 deg, I = 44.7; 19.67 deg, I = 44.5; 20.87 deg, I = 41.5; 23.01 deg, I = 39.2; 23.71 deg, I = 46.4; 27.43 deg, I = 61.3; 27.55 deg, I = 60.5; 27.86 deg, I = 100.0; 29.33 deg, I = 45.5; 33.38 deg, I = 84.7

Structure:
```
data_BaNa3Li
_chemical_formula_sum 'Ba4 Na12 Li4'
_symmetry_space_group_name_H-M 'P 1'
_symmetry_Int_Tables_number 1
_cell_length_a 10.9025
_cell_length_b 10.9025
_cell_length_c 7.6676
_cell_angle_alpha 99.89
_cell_angle_beta 99.89
_cell_angle_gamma 62.38
loop_
_symmetry_equiv_pos_as_xyz
'x,y,z'
loop_
_atom_site_label
_atom_site_type_symbol
_atom_site_fract_x
_atom_site_fract_y
_atom_site_fract_z
Ba1 Ba 0.0321 0.9679 0.7500
Ba2 Ba 0.3529 0.6471 0.2500
Ba3 Ba 0.6471 0.3529 0.7500
Ba4 Ba 0.9679 0.0321 0.2500
Na1 Na 0.0112 0.3385 0.0732
Na2 Na 0.0136 0.3443 0.6010
Na3 Na 0.3120 0.3179 0.4061
Na4 Na 0.3179 0.3120 0.9061
Na5 Na 0.3385 0.0112 0.5732
Na6 Na 0.3443 0.0136 0.1010
Na7 Na 0.6557 0.9864 0.8990
Na8 Na 0.6615 0.9888 0.4268
Na9 Na 0.6821 0.6880 0.0939
Na10 Na 0.6880 0.6821 0.5939
Na11 Na 0.9864 0.6557 0.3990
Na12 Na 0.9888 0.6615 0.9268
Li1 Li 0.2512 0.5881 0.7093
Li2 Li 0.4119 0.7488 0.7907
Li3 Li 0.5881 0.2512 0.2093
Li4 Li 0.7488 0.4119 0.2907
```

=====

# 4
This entry pairs a crystal structure of Ba2Na7Li with its theoretical XRD peak list. Radiation: Cu Ka. Structure: a DFT-relaxed cell (PBE, Alexandria).

Largest 10 diffraction maxima, low angle first, 10° ≤ 2θ ≤ 90°:
12.26 deg, I = 43.9; 17.52 deg, I = 74.4; 23.27 deg, I = 43.3; 24.77 deg, I = 89.1; 26.38 deg, I = 100.0; 33.14 deg, I = 42.6; 35.24 deg, I = 41.0; 41.80 deg, I = 56.8; 49.15 deg, I = 31.0; 55.22 deg, I = 24.6

Structure:
```
data_Ba2Na7Li
_chemical_formula_sum 'Ba2 Na7 Li1'
_symmetry_space_group_name_H-M 'P 1'
_symmetry_Int_Tables_number 1
_cell_length_a 5.4062
_cell_length_b 5.4062
_cell_length_c 14.4371
_cell_angle_alpha 90.00
_cell_angle_beta 90.00
_cell_angle_gamma 90.00
loop_
_symmetry_equiv_pos_as_xyz
'x,y,z'
loop_
_atom_site_label
_atom_site_type_symbol
_atom_site_fract_x
_atom_site_fract_y
_atom_site_fract_z
Ba1 Ba 0.0000 0.5000 0.2387
Ba2 Ba 0.5000 0.0000 0.7613
Na1 Na 0.0000 0.0000 0.0000
Na2 Na 0.0000 0.0000 0.5000
Na3 Na 0.0000 0.5000 0.6471
Na4 Na 0.0000 0.5000 0.8733
Na5 Na 0.5000 0.0000 0.1267
Na6 Na 0.5000 0.0000 0.3529
Na7 Na 0.5000 0.5000 0.5000
Li1 Li 0.5000 0.5000 0.0000
```

=====

# 5
This entry pairs a crystal structure of Ba3Na2Li with its theoretical XRD peak list. Radiation: Cu Ka. Structure: a DFT-relaxed cell (PBE, Alexandria).

Largest 10 diffraction maxima, low angle first, 10° ≤ 2θ ≤ 90°:
18.72 deg, I = 34.9; 19.59 deg, I = 65.2; 27.23 deg, I = 100.0; 27.85 deg, I = 48.6; 33.77 deg, I = 32.1; 43.08 deg, I = 14.3; 44.70 deg, I = 11.3; 47.74 deg, I = 19.0; 48.86 deg, I = 29.2; 56.17 deg, I = 11.6

Structure:
```
data_Ba3Na2Li
_chemical_formula_sum 'Ba6 Na4 Li2'
_symmetry_space_group_name_H-M 'P 1'
_symmetry_Int_Tables_number 1
_cell_length_a 6.4150
_cell_length_b 9.4781
_cell_length_c 10.1148
_cell_angle_alpha 90.00
_cell_angle_beta 108.33
_cell_angle_gamma 90.00
loop_
_symmetry_equiv_pos_as_xyz
'x,y,z'
loop_
_atom_site_label
_atom_site_type_symbol
_atom_site_fract_x
_atom_site_fract_y
_atom_site_fract_z
Ba1 Ba 0.0000 0.2384 0.0000
Ba2 Ba 0.0000 0.7616 0.0000
Ba3 Ba 0.3291 0.2336 0.6588
Ba4 Ba 0.3291 0.7664 0.6588
Ba5 Ba 0.6709 0.2336 0.3412
Ba6 Ba 0.6709 0.7664 0.3412
Na1 Na 0.1658 0.5000 0.3315
Na2 Na 0.5000 0.0000 0.0000
Na3 Na 0.5000 0.5000 0.0000
Na4 Na 0.8342 0.5000 0.6685
Li1 Li 0.1659 0.0000 0.3301
Li2 Li 0.8341 0.0000 0.6699
```

=====

# 6
This entry pairs a crystal structure of Ba2NaLi16 with its theoretical XRD peak list. Radiation: Cu Ka. Structure: a DFT-relaxed cell (PBE, Alexandria).

Largest 10 diffraction maxima, low angle first, 10° ≤ 2θ ≤ 90°:
11.22 deg, I = 50.3; 16.77 deg, I = 100.0; 17.16 deg, I = 25.0; 24.08 deg, I = 77.9; 24.95 deg, I = 27.0; 29.25 deg, I = 35.0; 33.90 deg, I = 27.5; 34.11 deg, I = 42.3; 34.74 deg, I = 30.3; 48.84 deg, I = 36.5

Structure:
```
data_Ba2NaLi16
_chemical_formula_sum 'Ba2 Na1 Li16'
_symmetry_space_group_name_H-M 'P 1'
_symmetry_Int_Tables_number 1
_cell_length_a 7.9989
_cell_length_b 7.9989
_cell_length_c 7.9989
_cell_angle_alpha 82.77
_cell_angle_beta 82.77
_cell_angle_gamma 82.77
loop_
_symmetry_equiv_pos_as_xyz
'x,y,z'
loop_
_atom_site_label
_atom_site_type_symbol
_atom_site_fract_x
_atom_site_fract_y
_atom_site_fract_z
Ba1 Ba 0.0000 0.0000 0.0000
Ba2 Ba 0.3054 0.3054 0.3054
Na1 Na 0.7462 0.7462 0.7462
Li1 Li 0.1596 0.6471 0.6471
Li2 Li 0.3129 0.3129 0.7922
Li3 Li 0.3129 0.7922 0.3129
Li4 Li 0.3586 0.6491 0.9405
Li5 Li 0.3586 0.9405 0.6491
Li6 Li 0.5007 0.9931 0.9931
Li7 Li 0.5542 0.5542 0.5542
Li8 Li 0.6471 0.1596 0.6471
Li9 Li 0.6471 0.6471 0.1596
Li10 Li 0.6491 0.3586 0.9405
Li11 Li 0.6491 0.9405 0.3586
Li12 Li 0.7922 0.3129 0.3129
Li13 Li 0.9405 0.3586 0.6491
Li14 Li 0.9405 0.6491 0.3586
Li15 Li 0.9931 0.5007 0.9931
Li16 Li 0.9931 0.9931 0.5007
```

=====

# 7
This entry pairs a crystal structure of BaNa9Li3 with its theoretical XRD peak list. Radiation: Cu Ka. Structure: a DFT-relaxed cell (PBE, Alexandria).

Largest 10 diffraction maxima, low angle first, 10° ≤ 2θ ≤ 90°:
10.57 deg, I = 89.9; 14.96 deg, I = 77.2; 15.51 deg, I = 75.1; 21.65 deg, I = 83.4; 26.30 deg, I = 64.0; 26.45 deg, I = 44.4; 27.31 deg, I = 47.5; 30.21 deg, I = 100.0; 30.49 deg, I = 98.0; 30.57 deg, I = 57.7

Structure:
```
data_BaNa9Li3
_chemical_formula_sum 'Ba1 Na9 Li3'
_symmetry_space_group_name_H-M 'P 1'
_symmetry_Int_Tables_number 1
_cell_length_a 8.9593
_cell_length_b 8.9593
_cell_length_c 8.9964
_cell_angle_alpha 97.43
_cell_angle_beta 97.43
_cell_angle_gamma 137.25
loop_
_symmetry_equiv_pos_as_xyz
'x,y,z'
loop_
_atom_site_label
_atom_site_type_symbol
_atom_site_fract_x
_atom_site_fract_y
_atom_site_fract_z
Ba1 Ba 0.0000 0.0000 0.0000
Na1 Na 0.0130 0.6566 0.6563
Na2 Na 0.2772 0.4976 0.7876
Na3 Na 0.3434 0.9870 0.3437
Na4 Na 0.4976 0.2772 0.7876
Na5 Na 0.5000 0.5000 0.5000
Na6 Na 0.5024 0.7228 0.2124
Na7 Na 0.6566 0.0130 0.6563
Na8 Na 0.7228 0.5024 0.2124
Na9 Na 0.9870 0.3434 0.3437
Li1 Li 0.0000 0.0000 0.5000
Li2 Li 0.0000 0.5000 0.0000
Li3 Li 0.5000 0.0000 0.0000
```

=====

# 8
This entry pairs a crystal structure of BaNa4Li with its theoretical XRD peak list. Radiation: Cu Ka. Structure: a DFT-relaxed cell (PBE, Alexandria).

Largest 10 diffraction maxima, low angle first, 10° ≤ 2θ ≤ 90°:
15.65 deg, I = 54.8; 18.09 deg, I = 48.8; 25.69 deg, I = 48.5; 30.22 deg, I = 100.0; 31.60 deg, I = 26.1; 41.16 deg, I = 22.7; 45.30 deg, I = 20.6; 48.21 deg, I = 35.7; 52.80 deg, I = 18.8; 74.28 deg, I = 21.1

Structure:
```
data_BaNa4Li
_chemical_formula_sum 'Ba1 Na4 Li1'
_symmetry_space_group_name_H-M 'P 1'
_symmetry_Int_Tables_number 1
_cell_length_a 6.9349
_cell_length_b 6.9349
_cell_length_c 6.9349
_cell_angle_alpha 60.00
_cell_angle_beta 60.00
_cell_angle_gamma 60.00
loop_
_symmetry_equiv_pos_as_xyz
'x,y,z'
loop_
_atom_site_label
_atom_site_type_symbol
_atom_site_fract_x
_atom_site_fract_y
_atom_site_fract_z
Ba1 Ba 0.0000 0.0000 0.0000
Na1 Na 0.1292 0.6236 0.6236
Na2 Na 0.6236 0.1292 0.6236
Na3 Na 0.6236 0.6236 0.1292
Na4 Na 0.6236 0.6236 0.6236
Li1 Li 0.2500 0.2500 0.2500
```

=====

Q: Number 8 is which compound?
A: BaNa4Li